# Dy8Ni2Ag
Theoretical X-ray diffraction stick pattern, Cu Kα (λ = 1.5418 Å). Input: a cell relaxed with PBE.
Lines closer than 0.1° are merged.

Cell and atoms:
Cell: 8.371 13.010 5.525 Å, 90.00 104.95 90.00°
Space group C2/m (No. 12)
Inequivalent atoms, fractional coordinates:
Dy1 0.000 0.240 0.000 (multiplicity 4)
Dy2 0.118 0.500 0.809 (multiplicity 4)
Dy3 0.206 0.129 0.587 (multiplicity 8)
Ni1 0.000 0.302 0.500 (multiplicity 4)
Ag1 0.000 0.000 0.000 (multiplicity 2)

Peak list (6 most intense, 2θ from 15° to 90°, in order of rising 2θ)
2θ 31.00, d = 2.885 Å, intensity 78; 2θ 32.23, d = 2.778 Å, intensity 100; 2θ 33.24, d = 2.695 Å, intensity 59; 2θ 33.87, d = 2.647 Å, intensity 67; 2θ 35.42, d = 2.534 Å, intensity 74; 2θ 53.75, d = 1.705 Å, intensity 31